No. 1
Computed PXRD pattern of LuZnSn for CuKα, from a DFT-relaxed cell (PBE, the Materials Project).
Kinematic intensities with the Lorentz-polarization factor, no thermal factor.

Atomic structure:
```
data_LuZnSn
_chemical_formula_sum 'Lu4 Zn4 Sn4'
_space_group_name_H-M_alt 'P 63/m m c'
_space_group_IT_number 194
_space_group_name_Hall '-P 6c 2c'
_cell_length_a 4.5072
_cell_length_b 4.5072
_cell_length_c 15.1520
_cell_angle_alpha 90.00
_cell_angle_beta 90.00
_cell_angle_gamma 120.00
loop_
_atom_site_label
_atom_site_type_symbol
_atom_site_fract_x
_atom_site_fract_y
_atom_site_fract_z
_atom_site_occupancy
Lu1 Lu 0.0000 0.0000 0.0000 1
Lu2 Lu 0.0000 0.0000 0.2500 1
Zn1 Zn 0.3333 0.6667 0.1573 1
Sn1 Sn 0.3333 0.6667 0.6112 1
```

Most intense lines, 2θ = 10–80°, in order of rising 2θ:
hkl 1 0 0, 2θ 22.8, intensity 11
hkl 1 0 3, 2θ 28.9, intensity 14
hkl 1 0 4, 2θ 32.9, intensity 100
hkl 1 1 0, 2θ 40.0, intensity 61
hkl 0 0 8, 2θ 48.1, intensity 17
hkl 2 0 4, 2θ 52.8, intensity 27
hkl 1 0 8, 2θ 53.8, intensity 6
hkl 1 1 8, 2θ 64.2, intensity 20
hkl 2 1 4, 2θ 68.2, intensity 25
hkl 3 0 0, 2θ 72.7, intensity 11
hkl 1 0 11, 2θ 72.8, intensity 4
hkl 2 1 7, 2θ 78.5, intensity 5

=====

No. 2
Computed PXRD pattern of BaMgAl3P2H2O14 for CuKα, from a DFT-relaxed cell (PBE, the Materials Project).
Kinematic intensities with the Lorentz-polarization factor, no thermal factor.

Atomic structure:
```
data_BaMgAl3P2H2O14
_chemical_formula_sum 'Ba2 Mg2 Al6 P4 H4 O28'
_space_group_name_H-M_alt 'C 1 m 1'
_space_group_IT_number 8
_space_group_name_Hall 'C -2y'
_cell_length_a 12.6945
_cell_length_b 6.8521
_cell_length_c 7.2376
_cell_angle_alpha 90.00
_cell_angle_beta 121.54
_cell_angle_gamma 90.00
loop_
_atom_site_label
_atom_site_type_symbol
_atom_site_fract_x
_atom_site_fract_y
_atom_site_fract_z
_atom_site_occupancy
Ba1 Ba 0.0000 0.0000 0.0000 1
Mg1 Mg 0.0126 0.5000 0.3409 1
Al1 Al 0.0015 0.0000 0.4540 1
Al2 Al 0.2248 0.2481 0.4827 1
P1 P 0.2120 0.5000 0.0953 1
P2 P 0.2706 0.0000 0.8605 1
H1 H 0.1898 0.5000 0.6934 1
H2 H 0.2808 0.0000 0.2976 1
O1 O 0.0601 0.2069 0.3830 1
O2 O 0.1280 0.0000 0.7623 1
O3 O 0.1307 0.5000 0.8506 1
O4 O 0.1833 0.3198 0.1976 1
O5 O 0.2004 0.5000 0.5630 1
O6 O 0.2688 0.0000 0.4220 1
O7 O 0.3066 0.1834 0.7778 1
O8 O 0.3398 0.0000 0.1085 1
O9 O 0.3513 0.5000 0.1726 1
O10 O 0.3943 0.3964 0.5582 1
```

Most intense lines, 2θ = 10–80°, in order of rising 2θ:
hkl 2 0 -1, 2θ 15.1, intensity 42
hkl 1 1 0, 2θ 15.3, intensity 100
hkl 1 1 1, 2θ 23.8, intensity 31
hkl 3 1 -1, 2θ 24.8, intensity 65
hkl 0 2 0, 2θ 26.0, intensity 44
hkl 3 1 0, 2θ 28.0, intensity 59
hkl 3 1 -2, 2θ 29.5, intensity 63
hkl 0 2 1, 2θ 29.8, intensity 42
hkl 1 1 2, 2θ 36.6, intensity 44
hkl 2 0 -3, 2θ 37.8, intensity 36
hkl 4 0 -3, 2θ 38.8, intensity 27
hkl 3 3 -2, 2θ 48.1, intensity 33

=====

No. 3
Computed PXRD pattern of Ni3H for CuKα, from a DFT-relaxed cell (PBE, the Materials Project).
Kinematic intensities with the Lorentz-polarization factor, no thermal factor.

Atomic structure:
```
data_Ni3H
_chemical_formula_sum 'Ni12 H4'
_space_group_name_H-M_alt 'F m -3 m'
_space_group_IT_number 225
_space_group_name_Hall '-F 4 2 3'
_cell_length_a 5.3450
_cell_length_b 5.3450
_cell_length_c 5.3450
_cell_angle_alpha 90.00
_cell_angle_beta 90.00
_cell_angle_gamma 90.00
loop_
_atom_site_label
_atom_site_type_symbol
_atom_site_fract_x
_atom_site_fract_y
_atom_site_fract_z
_atom_site_occupancy
Ni1 Ni 0.0000 0.0000 0.0000 1
Ni2 Ni 0.2500 0.2500 0.2500 1
H1 H 0.0000 0.0000 0.5000 1
```

Most intense lines, 2θ = 10–80°, in order of rising 2θ:
hkl 1 1 1, 2θ 28.9, intensity 30
hkl 2 0 0, 2θ 33.5, intensity 15
hkl 2 2 0, 2θ 48.2, intensity 100
hkl 3 1 1, 2θ 57.2, intensity 12
hkl 2 2 2, 2θ 60.0, intensity 4
hkl 4 0 0, 2θ 70.5, intensity 14
hkl 3 3 1, 2θ 77.9, intensity 5

=====

No. 4
Computed PXRD pattern of BaSr4Ti5O15 for CuKα, from a DFT-relaxed cell (PBE, the Materials Project).
Kinematic intensities with the Lorentz-polarization factor, no thermal factor.

Atomic structure:
```
data_BaSr4Ti5O15
_chemical_formula_sum 'Ba1 Sr4 Ti5 O15'
_space_group_name_H-M_alt 'P 4/m m m'
_space_group_IT_number 123
_space_group_name_Hall '-P 4 2'
_cell_length_a 3.9568
_cell_length_b 3.9568
_cell_length_c 19.7774
_cell_angle_alpha 90.00
_cell_angle_beta 90.00
_cell_angle_gamma 90.00
loop_
_atom_site_label
_atom_site_type_symbol
_atom_site_fract_x
_atom_site_fract_y
_atom_site_fract_z
_atom_site_occupancy
Ba1 Ba 0.0000 0.0000 0.0000 1
Sr1 Sr 0.0000 0.0000 0.2007 1
Sr2 Sr 0.0000 0.0000 0.4000 1
Ti1 Ti 0.5000 0.5000 0.1026 1
Ti2 Ti 0.5000 0.5000 0.3004 1
Ti3 Ti 0.5000 0.5000 0.5000 1
O1 O 0.0000 0.5000 0.1038 1
O2 O 0.0000 0.5000 0.3001 1
O3 O 0.0000 0.5000 0.5000 1
O4 O 0.5000 0.5000 0.0000 1
O5 O 0.5000 0.5000 0.2011 1
O6 O 0.5000 0.5000 0.4001 1
```

Most intense lines, 2θ = 10–80°, in order of rising 2θ:
hkl 0 0 5, 2θ 22.5, intensity 7
hkl 1 0 1, 2θ 22.9, intensity 1
hkl 1 0 2, 2θ 24.2, intensity 1
hkl 1 0 3, 2θ 26.3, intensity 1
hkl 1 1 0, 2θ 32.0, intensity 100
hkl 1 1 5, 2θ 39.4, intensity 22
hkl 2 0 0, 2θ 45.9, intensity 39
hkl 1 0 10, 2θ 51.7, intensity 4
hkl 2 1 5, 2θ 57.0, intensity 38
hkl 2 2 0, 2θ 66.9, intensity 23
hkl 0 0 15, 2θ 71.5, intensity 3
hkl 3 1 0, 2θ 76.1, intensity 16

=====

No. 5
Computed PXRD pattern of K2BeSi4O13 for CuKα, from a DFT-relaxed cell (PBE, the Materials Project).
Kinematic intensities with the Lorentz-polarization factor, no thermal factor.

Atomic structure:
```
data_K2BeSi4O13
_chemical_formula_sum 'K8 Be4 Si16 O52'
_space_group_name_H-M_alt 'C 2 2 21'
_space_group_IT_number 20
_space_group_name_Hall 'C 2c 2'
_cell_length_a 9.7431
_cell_length_b 12.3502
_cell_length_c 9.9626
_cell_angle_alpha 90.00
_cell_angle_beta 90.00
_cell_angle_gamma 90.00
loop_
_atom_site_label
_atom_site_type_symbol
_atom_site_fract_x
_atom_site_fract_y
_atom_site_fract_z
_atom_site_occupancy
K1 K 0.0000 0.2076 0.2500 1
K2 K 0.1396 0.5000 0.5000 1
Be1 Be 0.2261 0.0000 0.5000 1
Si1 Si 0.1356 0.3032 0.9070 1
Si2 Si 0.1573 0.2067 0.6218 1
O1 O 0.0000 0.4476 0.2500 1
O2 O 0.0308 0.2874 0.5746 1
O3 O 0.1191 0.0207 0.1612 1
O4 O 0.1300 0.0820 0.5874 1
O5 O 0.1746 0.4295 0.8972 1
O6 O 0.1920 0.2322 0.7796 1
O7 O 0.2070 0.2461 0.0401 1
```

Most intense lines, 2θ = 10–80°, in order of rising 2θ:
hkl 0 2 0, 2θ 14.3, intensity 74
hkl 1 1 1, 2θ 14.6, intensity 46
hkl 1 1 2, 2θ 21.3, intensity 20
hkl 1 3 1, 2θ 25.1, intensity 51
hkl 0 4 0, 2θ 28.9, intensity 56
hkl 1 1 3, 2θ 29.3, intensity 100
hkl 2 2 2, 2θ 29.4, intensity 61
hkl 3 1 1, 2θ 29.8, intensity 89
hkl 2 4 1, 2θ 35.6, intensity 26
hkl 2 2 3, 2θ 35.8, intensity 29
hkl 1 5 2, 2θ 41.9, intensity 25
hkl 3 1 7, 2θ 73.0, intensity 19

=====

No. 6
Computed PXRD pattern of CsV6S8 for CuKα, from a DFT-relaxed cell (PBE, the Materials Project).
Kinematic intensities with the Lorentz-polarization factor, no thermal factor.

Atomic structure:
```
data_CsV6S8
_chemical_formula_sum 'Cs1 V6 S8'
_space_group_name_H-M_alt 'P -1'
_space_group_IT_number 2
_space_group_name_Hall '-P 1'
_cell_length_a 3.2595
_cell_length_b 9.3531
_cell_length_c 9.3577
_cell_angle_alpha 119.90
_cell_angle_beta 90.01
_cell_angle_gamma 90.01
loop_
_atom_site_label
_atom_site_type_symbol
_atom_site_fract_x
_atom_site_fract_y
_atom_site_fract_z
_atom_site_occupancy
Cs1 Cs 0.0000 0.0000 0.0000 1
V1 V 0.2477 0.1133 0.4881 1
V2 V 0.2476 0.3747 0.8863 1
V3 V 0.2478 0.5114 0.6250 1
S1 S 0.2513 0.6668 0.3334 1
S2 S 0.2550 0.0552 0.6995 1
S3 S 0.2548 0.3004 0.3560 1
S4 S 0.2550 0.6442 0.9445 1
```

Most intense lines, 2θ = 10–80°, in order of rising 2θ:
hkl 0 2 0, 2θ 21.9, intensity 63
hkl 0 1 2, 2θ 29.1, intensity 31
hkl 1 0 1, 2θ 29.5, intensity 45
hkl 0 3 0, 2θ 33.2, intensity 41
hkl 1 -2 1, 2θ 33.5, intensity 22
hkl 1 0 2, 2θ 35.3, intensity 36
hkl 0 4 -3, 2θ 40.1, intensity 52
hkl 1 1 -3, 2θ 40.4, intensity 100
hkl 1 -3 0, 2θ 43.5, intensity 17
hkl -1 2 2, 2θ 47.9, intensity 41
hkl 0 1 4, 2θ 51.7, intensity 32
hkl 1 3 2, 2θ 57.0, intensity 22